Starting from the GGA-PBE geometry in Alexandria, the powder diffraction line list of BaMoPt was calculated for Cu Kα X-rays.
Peak positions follow from Bragg's law for the DFT cell and can differ from measured ones.

Unit cell a=4.393 b=4.493 c=8.431 alpha=90.00 beta=91.88 gamma=90.00
Fractional positions:
Ba1 0.000 0.000 0.000
Ba2 0.482 0.500 0.655
Mo1 0.003 0.500 0.350
Mo2 0.554 0.500 0.194
Pt1 0.434 0.000 0.314
Pt2 0.950 0.000 0.521

The 10 most intense peaks (5° ≤ 2θ ≤ 70°), sorted by position:
| d/Å | 2theta | Rel. int. |
| --- | --- | --- |
| 8.427 | 10.5 | 100 |
| 3.091 | 28.9 | 19 |
| 3.073 | 29.1 | 29 |
| 2.991 | 29.9 | 36 |
| 2.965 | 30.1 | 24 |
| 2.547 | 35.2 | 49 |
| 2.490 | 36.1 | 29 |
| 2.246 | 40.1 | 29 |
| 2.195 | 41.1 | 22 |
| 1.908 | 47.7 | 23 |

Starting from the GGA-PBE geometry in Alexandria, the powder diffraction line list of Ba2MoPt was calculated for Cu Kα X-rays.
Peak positions follow from Bragg's law for the DFT cell and can differ from measured ones.

Unit cell a=6.921 b=6.921 c=6.921 alpha=143.87 beta=135.74 gamma=58.41
Fractional positions:
Ba1 0.000 0.000 0.000
Ba2 0.723 0.223 0.500
Mo1 0.314 0.814 0.500
Pt1 0.409 0.409 0.000

The 10 most intense peaks (5° ≤ 2θ ≤ 70°), sorted by position:
| d/Å | 2theta | Rel. int. |
| --- | --- | --- |
| 6.041 | 14.7 | 32 |
| 3.187 | 28.0 | 59 |
| 2.906 | 30.8 | 100 |
| 2.607 | 34.4 | 31 |
| 2.146 | 42.1 | 17 |
| 2.106 | 43.0 | 31 |
| 1.780 | 51.3 | 22 |
| 1.657 | 55.5 | 15 |
| 1.638 | 56.1 | 36 |
| 1.557 | 59.4 | 15 |